1.
Calculated PXRD pattern of Hf5Nb2Sb5 for Cu Ka, from DFT lattice parameters and positions (PBE).
Neutral-atom scattering factors, no anomalous dispersion.

Structural model:
a = 14.305 Å, b = 3.727 Å, c = 11.309 Å
α = 90.00°, β = 119.89°, γ = 90.00°
Space group C2/m (No. 12)
Asymmetric unit:
Hf 0.000 0.000 0.000 [2 per cell]
Hf 0.125 0.000 0.760 [4 per cell]
Hf 0.163 0.000 0.501 [4 per cell]
Nb 0.054 0.500 0.270 [4 per cell]
Sb 0.000 0.500 0.500 [2 per cell]
Sb 0.149 0.500 0.982 [4 per cell]
Sb 0.210 0.000 0.266 [4 per cell]

The 10 most intense peaks (15° ≤ 2θ ≤ 90°), in order of rising 2θ:
d/Å	2theta	I (rel.)	(hkl)
2.852	31.36	161	3 1 -2
2.768	32.34	204	3 1 0
2.579	34.79	1000	3 1 -3
2.458	36.56	938	3 1 1
2.451	36.66	551	0 0 4
2.375	37.88	168	6 0 -2
1.864	48.87	267	0 2 0
1.483	62.62	230	0 2 4
1.462	63.67	196	3 1 -7
1.457	63.87	168	9 1 -3



2.
Calculated PXRD pattern of Hf5NbSb5 for Cu Ka, from DFT lattice parameters and positions (PBE).
Neutral-atom scattering factors, no anomalous dispersion.

Structural model:
a = 12.811 Å, b = 5.576 Å, c = 7.838 Å
α = 90.00°, β = 106.64°, γ = 90.00°
Space group C2/m (No. 12)
Asymmetric unit:
Hf 0.000 0.000 0.000 [2 per cell]
Hf 0.086 0.500 0.186 [4 per cell]
Hf 0.165 0.500 0.852 [4 per cell]
Nb 0.000 0.000 0.500 [2 per cell]
Sb 0.000 0.500 0.500 [2 per cell]
Sb 0.173 0.000 0.346 [4 per cell]
Sb 0.178 0.000 0.805 [4 per cell]

The 10 most intense peaks (15° ≤ 2θ ≤ 90°), in order of rising 2θ:
d/Å	2theta	I (rel.)	(hkl)
2.860	31.28	349	2 0 2
2.801	31.95	633	4 0 -2
2.789	32.09	1000	0 2 0
2.593	34.60	126	4 0 1
2.359	38.15	340	1 1 -3
2.247	40.13	127	5 1 0
1.996	45.44	156	2 2 2
1.976	45.92	463	4 2 -2
1.252	76.01	115	8 2 -4
1.248	76.29	103	4 4 -2



3.
Calculated PXRD pattern of Hf3NbSe8 for Cu Ka, from DFT lattice parameters and positions (PBE).
Neutral-atom scattering factors, no anomalous dispersion.

Structural model:
a = 12.797 Å, b = 7.389 Å, c = 8.166 Å
α = 90.00°, β = 122.06°, γ = 90.00°
Space group C2/m (No. 12)
Asymmetric unit:
Hf 0.000 0.000 0.000 [2 per cell]
Hf 0.250 0.250 0.000 [4 per cell]
Nb 0.000 0.500 0.000 [2 per cell]
Se 0.004 0.254 0.768 [8 per cell]
Se 0.242 0.500 0.231 [4 per cell]
Se 0.246 0.000 0.233 [4 per cell]

The 10 most intense peaks (15° ≤ 2θ ≤ 90°), in order of rising 2θ:
d/Å	2theta	I (rel.)	(hkl)
3.162	28.22	506	4 0 -1
2.730	32.81	1000	2 2 -2
2.712	33.04	494	4 0 0
2.528	35.51	138	2 2 1
2.180	41.41	215	2 2 -3
2.025	44.75	201	4 0 -4
2.011	45.09	399	2 2 2
1.847	49.34	478	0 4 0
1.730	52.92	117	0 0 4
1.527	60.66	171	4 4 0



4.
Calculated PXRD pattern of HfNb2Te4Se2 for Cu Ka, from DFT lattice parameters and positions (PBE).
Neutral-atom scattering factors, no anomalous dispersion.

Structural model:
a = 3.6814 Å, b = 3.6814 Å, c = 22.3429 Å
α = 90.00°, β = 90.00°, γ = 120.00°
Space group P3m1 (No. 156)
Asymmetric unit:
Hf 0.0000 0.0000 0.0000 [1 per cell]
Nb 0.0000 0.0000 0.6475 [1 per cell]
Nb 0.6667 0.3333 0.3219 [1 per cell]
Te 0.0000 0.0000 0.2387 [1 per cell]
Te 0.0000 0.0000 0.4048 [1 per cell]
Te 0.6667 0.3333 0.5647 [1 per cell]
Te 0.6667 0.3333 0.7308 [1 per cell]
Se 0.6667 0.3333 0.0753 [1 per cell]
Se 0.6667 0.3333 0.9249 [1 per cell]

The 10 most intense peaks (15° ≤ 2θ ≤ 90°), in order of rising 2θ:
d/Å	2theta	I (rel.)	(hkl)
3.188	27.98	558	1 0 0
2.931	30.50	179	0 1 3
2.769	32.33	265	1 0 4
2.595	34.56	1000	0 1 5
2.256	39.97	180	1 0 7
2.101	43.06	428	0 1 8
1.841	49.52	441	1 1 0
1.501	61.79	183	2 0 5
1.309	72.16	187	1 1 12
1.163	83.00	158	1 2 5



5.
Calculated PXRD pattern of HfNb2Te2Se4 for Cu Ka, from DFT lattice parameters and positions (PBE).
Neutral-atom scattering factors, no anomalous dispersion.

Structural model:
a = 3.5861 Å, b = 3.5861 Å, c = 21.7646 Å
α = 90.00°, β = 90.00°, γ = 120.00°
Space group P3m1 (No. 156)
Asymmetric unit:
Hf 0.0000 0.0000 0.0000 [1 per cell]
Nb 0.0000 0.0000 0.6430 [1 per cell]
Nb 0.6667 0.3333 0.3302 [1 per cell]
Te 0.6667 0.3333 0.0911 [1 per cell]
Te 0.6667 0.3333 0.9086 [1 per cell]
Se 0.0000 0.0000 0.2541 [1 per cell]
Se 0.0000 0.0000 0.4058 [1 per cell]
Se 0.6667 0.3333 0.5672 [1 per cell]
Se 0.6667 0.3333 0.7190 [1 per cell]

The 10 most intense peaks (15° ≤ 2θ ≤ 90°), in order of rising 2θ:
d/Å	2theta	I (rel.)	(hkl)
3.106	28.74	549	1 0 0
2.855	31.33	255	0 1 3
2.697	33.22	281	0 1 4
2.528	35.51	1000	1 0 5
2.359	38.15	237	0 1 6
2.197	41.08	126	1 0 7
2.046	44.26	397	0 1 8
1.793	50.93	425	1 1 0
1.463	63.62	180	0 2 5
1.133	85.72	159	2 1 5



6.
Calculated PXRD pattern of HfNb3Si for Cu Ka, from DFT lattice parameters and positions (PBE).
Neutral-atom scattering factors, no anomalous dispersion.

Structural model:
a = 6.8228 Å, b = 6.8228 Å, c = 14.8211 Å
α = 90.00°, β = 90.00°, γ = 120.00°
Space group R3c (No. 161, hexagonal axes)
Asymmetric unit:
Hf 0.0000 0.0000 0.0000 [6 per cell]
Nb 0.1334 0.4092 0.3459 [18 per cell]
Si 0.0000 0.0000 0.3176 [6 per cell]

The 10 most intense peaks (15° ≤ 2θ ≤ 90°), in order of rising 2θ:
d/Å	2theta	I (rel.)	(hkl)
3.411	26.12	308	1 1 0
3.139	28.43	280	1 0 4
2.807	31.88	392	1 1 3
2.744	32.63	1000	2 0 2
2.470	36.37	532	0 0 6
2.310	38.99	666	0 2 4
2.208	40.86	299	2 1 1
2.138	42.27	443	1 2 2
1.913	47.54	225	2 1 4
1.143	84.82	220	1 4 6